1.
The following is a simulated powder diffraction line list of CoAs2. It was derived from the GGA-PBE geometry in the Materials Project, using Cu Kα, 1.54184 Å.
Lines closer than 0.1° are merged.

Main lines, by intensity (10° ≤ 2θ ≤ 90°):
2θ = 35.26°, I = 100
2θ = 36.98°, I = 51
2θ = 36.69°, I = 49
2θ = 55.05°, I = 46
2θ = 33.59°, I = 44
2θ = 48.85°, I = 35
2θ = 33.26°, I = 34
2θ = 48.38°, I = 30
2θ = 58.37°, I = 29
2θ = 56.78°, I = 24

Cell and atoms:
a b c (Å): 5.9383 5.8912 5.9937
angles (deg): 90.00 116.00 90.00
Fractional coordinates of all 12 atoms:
Co: 0.2282 0.0005 0.2144
Co: 0.2282 0.4995 0.7144
Co: 0.7718 0.9995 0.7856
Co: 0.7718 0.5005 0.2856
As: 0.1569 0.1361 0.8254
As: 0.1569 0.3639 0.3254
As: 0.3466 0.6340 0.1321
As: 0.3466 0.8660 0.6321
As: 0.6534 0.1340 0.3679
As: 0.6534 0.3660 0.8679
As: 0.8431 0.6361 0.6746
As: 0.8431 0.8639 0.1746

---

2.
The following is a simulated powder diffraction line list of CoAs2. It was derived from the GGA-PBE geometry in the Materials Project, using Cu Kα, 1.54184 Å.
Lines closer than 0.1° are merged.

Main lines, by intensity (10° ≤ 2θ ≤ 90°):
2θ = 35.07°, I = 100
2θ = 37.02°, I = 95
2θ = 33.64°, I = 76
2θ = 48.50°, I = 66
2θ = 55.17°, I = 45
2θ = 56.05°, I = 28
2θ = 55.92°, I = 27
2θ = 59.26°, I = 26
2θ = 70.76°, I = 25
2θ = 38.29°, I = 24

Cell and atoms:
a b c (Å): 5.1241 5.9067 3.1183
angles (deg): 90.00 90.00 90.00
Fractional coordinates of all 6 atoms:
Co: 0.0000 0.0000 0.0000
Co: 0.5000 0.5000 0.5000
As: 0.1887 0.3638 0.0000
As: 0.3113 0.8638 0.5000
As: 0.6887 0.1362 0.5000
As: 0.8113 0.6362 0.0000

---

3.
The following is a simulated powder diffraction line list of CoAs3. It was derived from the GGA-PBE geometry in the Materials Project, using Cu Kα, 1.54184 Å.
Lines closer than 0.1° are merged.

Main lines, by intensity (10° ≤ 2θ ≤ 90°):
2θ = 34.29°, I = 100
2θ = 49.27°, I = 35
2θ = 40.82°, I = 31
2θ = 56.76°, I = 29
2θ = 54.34°, I = 21
2θ = 65.85°, I = 15
2θ = 78.43°, I = 15
2θ = 15.15°, I = 11
2θ = 26.40°, I = 10
2θ = 21.49°, I = 10

Cell and atoms:
a b c (Å): 7.1624 7.1624 7.1624
angles (deg): 109.47 109.47 109.47
Fractional coordinates of all 16 atoms:
Co: 0.0000 0.0000 0.5000
Co: 0.0000 0.5000 0.0000
Co: 0.5000 0.0000 0.0000
Co: 0.5000 0.5000 0.5000
As: 0.1520 0.4932 0.3412
As: 0.1520 0.8108 0.6588
As: 0.1892 0.3412 0.8480
As: 0.3412 0.1520 0.4932
As: 0.3412 0.8480 0.1892
As: 0.4932 0.3412 0.1520
As: 0.5068 0.6588 0.8480
As: 0.6588 0.1520 0.8108
As: 0.6588 0.8480 0.5068
As: 0.8108 0.6588 0.1520
As: 0.8480 0.1892 0.3412
As: 0.8480 0.5068 0.6588

---

4.
The following is a simulated powder diffraction line list of CoAs. It was derived from the GGA-PBE geometry in the Materials Project, using Cu Kα, 1.54184 Å.
Lines closer than 0.1° are merged.

Main lines, by intensity (10° ≤ 2θ ≤ 90°):
2θ = 34.09°, I = 100
2θ = 46.57°, I = 92
2θ = 51.32°, I = 65
2θ = 63.06°, I = 33
2θ = 71.79°, I = 23
2θ = 85.52°, I = 21
2θ = 28.96°, I = 10
2θ = 75.52°, I = 7
2θ = 82.82°, I = 1
2θ = 64.06°, I = 1

Cell and atoms:
a b c (Å): 3.5606 3.5606 5.0358
angles (deg): 90.00 90.00 120.00
Fractional coordinates of all 4 atoms:
Co: 0.0000 0.0000 0.0000
Co: 0.0000 0.0000 0.5000
As: 0.3333 0.6667 0.2500
As: 0.6667 0.3333 0.7500

---

5.
The following is a simulated powder diffraction line list of CoAs. It was derived from the GGA-PBE geometry in the Materials Project, using Cu Kα, 1.54184 Å.
Lines closer than 0.1° are merged.

Main lines, by intensity (10° ≤ 2θ ≤ 90°):
2θ = 34.50°, I = 100
2θ = 45.74°, I = 96
2θ = 54.12°, I = 60
2θ = 35.13°, I = 54
2θ = 44.03°, I = 45
2θ = 52.78°, I = 36
2θ = 46.24°, I = 32
2θ = 64.99°, I = 17
2θ = 72.75°, I = 15
2θ = 42.86°, I = 15

Cell and atoms:
a b c (Å): 5.3157 3.4690 5.8250
angles (deg): 90.00 90.00 90.00
Fractional coordinates of all 8 atoms:
Co: 0.0009 0.2500 0.1976
Co: 0.4991 0.7500 0.6976
Co: 0.5009 0.2500 0.3024
Co: 0.9991 0.7500 0.8024
As: 0.2002 0.2500 0.5885
As: 0.2998 0.7500 0.0885
As: 0.7002 0.2500 0.9115
As: 0.7998 0.7500 0.4115

---

6.
The following is a simulated powder diffraction line list of CrCoAs. It was derived from the GGA-PBE geometry in the Materials Project, using Cu Kα, 1.54184 Å.
Lines closer than 0.1° are merged.

Main lines, by intensity (10° ≤ 2θ ≤ 90°):
2θ = 42.36°, I = 100
2θ = 38.57°, I = 74
2θ = 52.40°, I = 45
2θ = 45.62°, I = 36
2θ = 50.02°, I = 33
2θ = 52.15°, I = 32
2θ = 84.55°, I = 25
2θ = 75.16°, I = 20
2θ = 70.01°, I = 18
2θ = 29.40°, I = 15

Cell and atoms:
a b c (Å): 6.0758 6.0758 3.6466
angles (deg): 90.00 90.00 120.00
Fractional coordinates of all 9 atoms:
Cr: 0.0000 0.5866 0.0000
Cr: 0.4134 0.4134 0.0000
Cr: 0.5866 0.0000 0.0000
Co: 0.0000 0.2475 0.5000
Co: 0.2475 0.0000 0.5000
Co: 0.7525 0.7525 0.5000
As: 0.0000 0.0000 0.0000
As: 0.3333 0.6667 0.5000
As: 0.6667 0.3333 0.5000

---

7.
The following is a simulated powder diffraction line list of CsCo2As2. It was derived from the GGA-PBE geometry in the Materials Project, using Cu Kα, 1.54184 Å.
Lines closer than 0.1° are merged.

Main lines, by intensity (10° ≤ 2θ ≤ 90°):
2θ = 29.36°, I = 100
2θ = 49.59°, I = 46
2θ = 56.82°, I = 30
2θ = 47.49°, I = 27
2θ = 35.23°, I = 25
2θ = 80.33°, I = 15
2θ = 23.70°, I = 15
2θ = 11.78°, I = 13
2θ = 60.52°, I = 12
2θ = 33.08°, I = 11

Cell and atoms:
a b c (Å): 7.9828 7.9828 7.9828
angles (deg): 152.24 152.24 39.66
Fractional coordinates of all 5 atoms:
Cs: 0.0000 0.0000 0.0000
Co: 0.2500 0.7500 0.5000
Co: 0.7500 0.2500 0.5000
As: 0.3362 0.3362 0.0000
As: 0.6638 0.6638 0.0000

---

8.
The following is a simulated powder diffraction line list of EuCo2As2. It was derived from the GGA-PBE geometry in the Materials Project, using Cu Kα, 1.54184 Å.
Lines closer than 0.1° are merged.

Main lines, by intensity (10° ≤ 2θ ≤ 90°):
2θ = 33.07°, I = 100
2θ = 35.92°, I = 60
2θ = 45.89°, I = 51
2θ = 57.71°, I = 40
2θ = 59.75°, I = 27
2θ = 32.00°, I = 22
2θ = 46.77°, I = 19
2θ = 66.90°, I = 14
2θ = 67.60°, I = 12
2θ = 85.17°, I = 12

Cell and atoms:
a b c (Å): 6.2369 6.2369 6.2369
angles (deg): 143.02 143.02 53.30
Fractional coordinates of all 5 atoms:
Eu: 0.0000 0.0000 0.0000
Co: 0.2500 0.7500 0.5000
Co: 0.7500 0.2500 0.5000
As: 0.3605 0.3605 0.0000
As: 0.6395 0.6395 0.0000

---

9.
The following is a simulated powder diffraction line list of FeCoAs. It was derived from the GGA-PBE geometry in the Materials Project, using Cu Kα, 1.54184 Å.
Lines closer than 0.1° are merged.

Main lines, by intensity (10° ≤ 2θ ≤ 90°):
2θ = 42.92°, I = 100
2θ = 39.17°, I = 95
2θ = 50.87°, I = 53
2θ = 43.07°, I = 52
2θ = 39.04°, I = 45
2θ = 53.03°, I = 44
2θ = 53.22°, I = 43
2θ = 52.75°, I = 41
2θ = 76.33°, I = 26
2θ = 46.06°, I = 19

Cell and atoms:
a b c (Å): 3.5899 10.3584 6.0220
angles (deg): 90.00 90.00 90.00
Fractional coordinates of all 18 atoms:
Fe: 0.0000 0.0000 0.0000
Fe: 0.0000 0.2017 0.6102
Fe: 0.0000 0.2995 0.1090
Fe: 0.0000 0.7005 0.1090
Fe: 0.0000 0.7983 0.6102
Fe: 0.5000 0.5000 0.1603
Co: 0.0000 0.5000 0.5038
Co: 0.5000 0.0000 0.6600
Co: 0.5000 0.1294 0.2794
Co: 0.5000 0.3715 0.7818
Co: 0.5000 0.6285 0.7818
Co: 0.5000 0.8706 0.2794
As: 0.0000 0.0000 0.4038
As: 0.0000 0.5000 0.9046
As: 0.5000 0.1657 0.9061
As: 0.5000 0.3354 0.4101
As: 0.5000 0.6646 0.4101
As: 0.5000 0.8343 0.9061

---

10.
The following is a simulated powder diffraction line list of FeCoAs4. It was derived from the GGA-PBE geometry in the Materials Project, using Cu Kα, 1.54184 Å.
Lines closer than 0.1° are merged.

Main lines, by intensity (10° ≤ 2θ ≤ 90°):
2θ = 34.75°, I = 100
2θ = 38.01°, I = 52
2θ = 48.92°, I = 34
2θ = 55.79°, I = 26
2θ = 56.21°, I = 18
2θ = 37.64°, I = 18
2θ = 54.98°, I = 18
2θ = 49.20°, I = 14
2θ = 88.03°, I = 14
2θ = 62.55°, I = 13

Cell and atoms:
a b c (Å): 5.2207 2.9697 5.9420
angles (deg): 90.00 90.06 90.00
Fractional coordinates of all 6 atoms:
Fe: 0.0000 0.0000 0.0000
Co: 0.5000 0.5000 0.5000
As: 0.1820 0.0000 0.3609
As: 0.3171 0.5000 0.8627
As: 0.6829 0.5000 0.1373
As: 0.8180 0.0000 0.6391

---

11.
The following is a simulated powder diffraction line list of CoGeAs2. It was derived from the GGA-PBE geometry in the Materials Project, using Cu Kα, 1.54184 Å.
Lines closer than 0.1° are merged.

Main lines, by intensity (10° ≤ 2θ ≤ 90°):
2θ = 28.00°, I = 100
2θ = 46.60°, I = 47
2θ = 55.07°, I = 25
2θ = 46.40°, I = 22
2θ = 55.42°, I = 14
2θ = 86.19°, I = 11
2θ = 75.10°, I = 10
2θ = 86.63°, I = 7
2θ = 67.71°, I = 6
2θ = 37.23°, I = 5

Cell and atoms:
a b c (Å): 6.7426 6.7426 6.7426
angles (deg): 131.53 131.53 70.97
Fractional coordinates of all 8 atoms:
Co: 0.0000 0.0000 0.0000
Co: 0.7500 0.2500 0.5000
Ge: 0.2500 0.7500 0.5000
Ge: 0.5000 0.5000 0.0000
As: 0.0842 0.1250 0.4592
As: 0.3750 0.9158 0.0408
As: 0.6658 0.6250 0.5408
As: 0.8750 0.3342 0.9592

---

12.
The following is a simulated powder diffraction line list of LaCo2As2. It was derived from the GGA-PBE geometry in the Materials Project, using Cu Kα, 1.54184 Å.
Lines closer than 0.1° are merged.

Main lines, by intensity (10° ≤ 2θ ≤ 90°):
2θ = 33.96°, I = 100
2θ = 35.60°, I = 68
2θ = 44.41°, I = 56
2θ = 57.05°, I = 44
2θ = 62.57°, I = 25
2θ = 31.00°, I = 24
2θ = 49.21°, I = 18
2θ = 64.61°, I = 18
2θ = 76.00°, I = 14
2θ = 68.43°, I = 13

Cell and atoms:
a b c (Å): 5.9418 5.9418 5.9418
angles (deg): 139.84 139.84 58.10
Fractional coordinates of all 5 atoms:
La: 0.0000 0.0000 0.0000
Co: 0.2500 0.7500 0.5000
Co: 0.7500 0.2500 0.5000
As: 0.3623 0.3623 0.0000
As: 0.6377 0.6377 0.0000